Record 1
Starting from the PBE+U geometry in the Materials Project, the XRD peak list of ZnFeP2O7 was computed for Cu Kα (weighted mean of Kα1 and Kα2).
Lines closer than 0.1° are merged.

Main lines, low angle first (2θ from 15° to 90°):
2θ/deg	I/Imax	index
20.08	185	0 1 -1
28.66	400	1 -1 1
29.06	537	1 0 2
29.19	714	1 2 0
29.50	1000	1 0 -2
29.62	313	0 2 0
33.09	345	2 0 0
41.03	233	2 0 2

Structure:
Cell: 5.6913 6.3848 7.4479 Å, 82.58 86.87 72.06°
Space group P-1 (No. 2)
Unique sites:
Zn (0.1721, 0.3459, 0.3414) (multiplicity 2)
Fe (0.2426, 0.8430, 0.7978) (multiplicity 2)
P (0.2778, 0.8017, 0.3853) (multiplicity 2)
P (0.3104, 0.3157, 0.9072) (multiplicity 2)
O (0.1182, 0.6446, 0.4245) (multiplicity 2)
O (0.1191, 0.0426, 0.3301) (multiplicity 2)
O (0.1485, 0.5494, 0.8323) (multiplicity 2)
O (0.1962, 0.1355, 0.8858) (multiplicity 2)
O (0.3936, 0.3103, 0.1016) (multiplicity 2)
O (0.4341, 0.7251, 0.2076) (multiplicity 2)
O (0.4480, 0.7838, 0.5438) (multiplicity 2)

Record 2
Starting from the PBE+U geometry in the Materials Project, the XRD peak list of KSrLaWO6 was computed for Cu Kα (weighted mean of Kα1 and Kα2).
Lines closer than 0.1° are merged.

Main lines, low angle first (2θ from 15° to 90°):
2θ/deg	I/Imax	index
20.59	346	2 0 0
29.27	1000	2 2 0
41.88	314	4 0 0
47.10	150	4 2 0
51.91	401	4 2 2
60.71	193	4 4 0
68.81	185	6 2 0
83.91	215	6 4 2

Structure:
Cell: 8.6293 8.6293 8.6293 Å, 90.00 90.00 90.00°
Space group F-43m (No. 216)
Unique sites:
K (0.0000, 0.0000, 0.0000) (multiplicity 4)
Sr (0.0000, 0.0000, 0.5000) (multiplicity 4)
La (0.2500, 0.2500, 0.2500) (multiplicity 4)
W (0.2500, 0.2500, 0.7500) (multiplicity 4)
O (0.0236, 0.2500, 0.7500) (multiplicity 24)

Record 3
Starting from the PBE+U geometry in the Materials Project, the XRD peak list of KTh2V3O12 was computed for Cu Kα (weighted mean of Kα1 and Kα2).
Lines closer than 0.1° are merged.

Main lines, low angle first (2θ from 15° to 90°):
2θ/deg	I/Imax	index
16.55	373	1 1 -1
18.99	455	3 1 0
25.65	362	2 0 2
26.40	676	4 0 -2
28.06	1000	2 2 -1
29.09	454	6 0 0
31.24	479	3 1 2
47.65	436	5 3 1

Structure:
Cell: 18.7618 7.2095 8.2531 Å, 90.00 100.96 90.00°
Space group C2/c (No. 15)
Unique sites:
K (0.0000, 0.1154, 0.2500) (multiplicity 4)
Th (0.1540, 0.4046, 0.0368) (multiplicity 8)
V (0.0000, 0.3939, 0.7500) (multiplicity 4)
V (0.1904, 0.0853, 0.6831) (multiplicity 8)
O (0.0341, 0.2654, 0.9245) (multiplicity 8)
O (0.0757, 0.4683, 0.2403) (multiplicity 8)
O (0.1396, 0.1153, 0.1630) (multiplicity 8)
O (0.1508, 0.2690, 0.5637) (multiplicity 8)
O (0.2054, 0.1512, 0.8907) (multiplicity 8)
O (0.2180, 0.4604, 0.3242) (multiplicity 8)